(1)
This entry pairs a crystal structure of KTmO2 with its computed powder XRD pattern. Radiation: copper Kα. Structure: the GGA-PBE geometry in the Materials Project.

Peak list (8 most intense, 2θ from 10° to 90°, most intense first)
(0 0 3), 2θ 14.20, I = 100; (1 0 4), 2θ 35.86, I = 92; (0 1 2), 2θ 31.66, I = 71; (1 0 1), 2θ 30.53, I = 37; (0 0 6), 2θ 28.62, I = 34; (0 1 8), 2θ 49.64, I = 31; (1 1 0), 2θ 53.53, I = 29; (1 1 6), 2θ 61.82, I = 24

Structure:
```
data_KTmO2
_symmetry_space_group_name_H-M 'R -3 m'
_symmetry_Int_Tables_number 166
_symmetry_space_group_name_Hall '-R 3 2"'
_cell_length_a 3.4237
_cell_length_b 3.4237
_cell_length_c 18.7156
_cell_angle_alpha 90.00
_cell_angle_beta 90.00
_cell_angle_gamma 120.00
loop_
_atom_site_label
_atom_site_fract_x
_atom_site_fract_y
_atom_site_fract_z
K1 0.0000 0.0000 0.0000
Tm1 0.0000 0.0000 0.5000
O1 0.0000 0.0000 0.2277
```

(2)
This entry pairs a crystal structure of GdUAl4 with its computed powder XRD pattern. Radiation: copper Kα. Structure: the GGA-PBE geometry in the Materials Project.

Peak list (8 most intense, 2θ from 10° to 90°, most intense first)
(2 2 0), 2θ 32.32, I = 100; (3 1 1), 2θ 38.09, I = 95; (1 1 1), 2θ 19.62, I = 73; (4 2 2), 2θ 57.63, I = 40; (3 3 3), 2θ 61.49, I = 32; (4 4 0), 2θ 67.64, I = 20; (3 3 1), 2θ 50.79, I = 20; (6 2 0), 2θ 76.96, I = 18

Structure:
```
data_GdUAl4
_symmetry_space_group_name_H-M 'F -4 3 m'
_symmetry_Int_Tables_number 216
_symmetry_space_group_name_Hall 'F -4 2 3'
_cell_length_a 7.835
_cell_length_b 7.835
_cell_length_c 7.835
_cell_angle_alpha 90.00
_cell_angle_beta 90.00
_cell_angle_gamma 90.00
loop_
_atom_site_label
_atom_site_fract_x
_atom_site_fract_y
_atom_site_fract_z
Gd1 0.000 0.000 0.000
U1 0.250 0.250 0.750
Al1 0.124 0.124 0.376
```

(3)
This entry pairs a crystal structure of Ho2TiO5 with its computed powder XRD pattern. Radiation: copper Kα. Structure: the GGA-PBE geometry in the Materials Project.

Peak list (8 most intense, 2θ from 10° to 90°, most intense first)
(0 1 3), 2θ 30.15, I = 100; (2 0 3), 2θ 29.58, I = 96; (2 1 6), 2θ 49.84, I = 50; (2 1 0), 2θ 34.54, I = 45; (2 2 3), 2θ 59.52, I = 38; (1 0 1), 2θ 13.19, I = 23; (0 0 6), 2θ 34.80, I = 23; (1 0 2), 2θ 16.52, I = 19

Structure:
```
data_Ho2TiO5
_symmetry_space_group_name_H-M 'P n m a'
_symmetry_Int_Tables_number 62
_symmetry_space_group_name_Hall '-P 2ac 2n'
_cell_length_a 7.451
_cell_length_b 3.623
_cell_length_c 15.467
_cell_angle_alpha 90.00
_cell_angle_beta 90.00
_cell_angle_gamma 90.00
loop_
_atom_site_label
_atom_site_fract_x
_atom_site_fract_y
_atom_site_fract_z
Ho1 0.100 0.250 0.084
Ho2 0.161 0.250 0.737
Ti1 0.113 0.250 0.424
O1 0.070 0.750 0.174
O2 0.073 0.750 0.453
O3 0.121 0.750 0.648
O4 0.158 0.750 0.995
O5 0.247 0.250 0.323
```

(4)
This entry pairs a crystal structure of Rb5TaTl2As4 with its computed powder XRD pattern. Radiation: copper Kα. Structure: the GGA-PBE geometry in the Materials Project.

Peak list (8 most intense, 2θ from 10° to 90°, most intense first)
(0 4 0), 2θ 31.80, I = 100; (5 1 1), 2θ 26.63, I = 94; (2 2 2), 2θ 28.83, I = 62; (2 0 1), 2θ 14.30, I = 56; (3 1 2), 2θ 27.31, I = 53; (3 3 1), 2θ 29.66, I = 50; (0 2 0), 2θ 15.74, I = 47; (2 1 0), 2θ 12.00, I = 42

Structure:
```
data_Rb5TaTl2As4
_symmetry_space_group_name_H-M 'P n m a'
_symmetry_Int_Tables_number 62
_symmetry_space_group_name_Hall '-P 2ac 2n'
_cell_length_a 19.488
_cell_length_b 11.258
_cell_length_c 8.020
_cell_angle_alpha 90.00
_cell_angle_beta 90.00
_cell_angle_gamma 90.00
loop_
_atom_site_label
_atom_site_fract_x
_atom_site_fract_y
_atom_site_fract_z
Rb1 0.022 0.250 0.107
Rb2 0.078 0.025 0.693
Rb3 0.249 0.555 0.480
Ta1 0.163 0.750 0.083
Tl1 0.054 0.750 0.418
Tl2 0.187 0.250 0.326
As1 0.103 0.570 0.196
As2 0.164 0.750 0.771
As3 0.211 0.250 0.668
```

(5)
This entry pairs a crystal structure of Na3HoTi2Nb2O12 with its computed powder XRD pattern. Radiation: copper Kα. Structure: the GGA-PBE geometry in the Materials Project.

Peak list (8 most intense, 2θ from 10° to 90°, most intense first)
(4 1 1), 2θ 32.55, I = 100; (1 1 1), 2θ 23.40, I = 46; (0 2 2), 2θ 46.30, I = 31; (3 0 0), 2θ 17.23, I = 29; (2 0 0), 2θ 11.46, I = 27; (4 3 1), 2θ 58.41, I = 24; (0 2 0), 2θ 32.81, I = 24; (2 1 1), 2θ 25.48, I = 23

Structure:
```
data_Na3HoTi2Nb2O12
_symmetry_space_group_name_H-M 'P m c 21'
_symmetry_Int_Tables_number 26
_symmetry_space_group_name_Hall 'P 2c -2'
_cell_length_a 15.439
_cell_length_b 5.459
_cell_length_c 5.638
_cell_angle_alpha 90.00
_cell_angle_beta 90.00
_cell_angle_gamma 90.00
loop_
_atom_site_label
_atom_site_fract_x
_atom_site_fract_y
_atom_site_fract_z
Na1 0.000 0.240 0.000
Na2 0.252 0.257 0.942
Ho1 0.500 0.236 0.048
Ti1 0.373 0.264 0.508
Nb1 0.128 0.248 0.460
O1 0.000 0.334 0.469
O2 0.105 0.035 0.765
O3 0.150 0.466 0.201
O4 0.255 0.170 0.502
O5 0.362 0.448 0.173
O6 0.409 0.049 0.760
O7 0.500 0.353 0.440
```

(6)
This entry pairs a crystal structure of Sr3Os2N4 with its computed powder XRD pattern. Radiation: copper Kα. Structure: the GGA-PBE geometry in the Materials Project.

Peak list (8 most intense, 2θ from 10° to 90°, most intense first)
(1 0 3), 2θ 32.52, I = 100; (1 0 1), 2θ 17.05, I = 100; (1 4 1), 2θ 38.65, I = 47; (0 0 2), 2θ 19.34, I = 40; (2 0 0), 2θ 28.28, I = 32; (0 4 2), 2θ 39.78, I = 29; (0 4 0), 2θ 34.46, I = 29; (2 4 0), 2θ 45.12, I = 27

Structure:
```
data_Sr3Os2N4
_symmetry_space_group_name_H-M 'P n n a'
_symmetry_Int_Tables_number 52
_symmetry_space_group_name_Hall '-P 2a 2bc'
_cell_length_a 6.312
_cell_length_b 10.423
_cell_length_c 9.179
_cell_angle_alpha 90.00
_cell_angle_beta 90.00
_cell_angle_gamma 90.00
loop_
_atom_site_label
_atom_site_fract_x
_atom_site_fract_y
_atom_site_fract_z
Sr1 0.130 0.155 0.077
Sr2 0.250 0.000 0.407
Os1 0.196 0.250 0.750
Os2 0.250 0.000 0.747
N1 0.016 0.602 0.308
N2 0.079 0.642 0.844
```

(7)
This entry pairs a crystal structure of Sm2MgS4 with its computed powder XRD pattern. Radiation: copper Kα. Structure: the GGA-PBE geometry in the Materials Project.

Peak list (8 most intense, 2θ from 10° to 90°, most intense first)
(2 1 1), 2θ 26.17, I = 100; (3 1 0), 2θ 34.26, I = 94; (1 1 2), 2θ 25.53, I = 90; (2 1 3), 2θ 39.49, I = 84; (1 0 1), 2θ 14.78, I = 56; (3 2 1), 2θ 40.65, I = 55; (3 0 1), 2θ 34.10, I = 48; (1 0 3), 2θ 32.74, I = 47

Structure:
```
data_Sm2MgS4
_symmetry_space_group_name_H-M 'I -4 2 d'
_symmetry_Int_Tables_number 122
_symmetry_space_group_name_Hall 'I -4 2bw'
_cell_length_a 8.276
_cell_length_b 8.276
_cell_length_c 8.694
_cell_angle_alpha 90.00
_cell_angle_beta 90.00
_cell_angle_gamma 90.00
loop_
_atom_site_label
_atom_site_fract_x
_atom_site_fract_y
_atom_site_fract_z
Sm1 0.132 0.250 0.125
Mg1 0.000 0.000 0.500
S1 0.068 0.197 0.809
```

(8)
This entry pairs a crystal structure of SiAg4O4 with its computed powder XRD pattern. Radiation: copper Kα. Structure: the GGA-PBE geometry in the Materials Project.

Peak list (8 most intense, 2θ from 10° to 90°, most intense first)
(2 1 1), 2θ 32.32, I = 100; (1 3 0), 2θ 38.15, I = 28; (1 3 2), 2θ 53.57, I = 17; (5 0 1), 2θ 65.28, I = 17; (4 2 0), 2θ 55.04, I = 11; (0 0 2), 2θ 36.16, I = 10; (3 3 0), 2θ 52.02, I = 8; (1 1 0), 2θ 16.80, I = 7

Structure:
```
data_SiAg4O4
_symmetry_space_group_name_H-M 'P 42/n'
_symmetry_Int_Tables_number 86
_cell_length_a 7.462
_cell_length_b 7.462
_cell_length_c 4.968
_cell_angle_alpha 90.00
_cell_angle_beta 90.00
_cell_angle_gamma 90.00
loop_
_symmetry_equiv_pos_as_xyz
'x,y,z'
'-x,-y,-z'
'-y,x+1/2,z+1/2'
'y,-x+1/2,-z+1/2'
'-x+1/2,-y+1/2,z'
'x+1/2,y+1/2,-z'
'y+1/2,-x,z+1/2'
'-y+1/2,x,-z+1/2'
loop_
_atom_site_label
_atom_site_fract_x
_atom_site_fract_y
_atom_site_fract_z
Si1 0.250 0.250 0.250
Ag1 0.069 0.637 0.204
O1 0.078 0.189 0.061
```